[1]
This entry pairs a crystal structure of CuP3NO9 with its simulated powder diffraction line list. Radiation: Cu Kα. Structure: a structure optimized by DFT (PBE).

Main lines, sorted by position (5 to 70 degrees two-theta):
| two_theta | intensity |
| --- | --- |
| 13.7 | 100 |
| 14.9 | 30 |
| 16.4 | 42 |
| 22.7 | 14 |
| 24.0 | 22 |
| 24.3 | 22 |
| 26.7 | 15 |
| 27.3 | 19 |
| 32.3 | 24 |
| 33.2 | 19 |

Structure:
```
CuP3NO9
1.0
5.0353 0.0000 0.0000
0.0000 11.8894 0.0000
-0.4426 0.0000 12.9643
Cu P N O
4 12 4 36
Direct
0.0000 0.0000 0.0000
0.0000 0.0000 0.5000
0.0000 0.5000 0.0000
0.0000 0.5000 0.5000
0.2407 0.2484 0.0064
0.2407 0.2516 0.5064
0.4815 0.5785 0.8675
0.4815 0.9215 0.3675
0.4919 0.0889 0.8679
0.4919 0.4111 0.3679
0.5081 0.5889 0.6321
0.5081 0.9111 0.1321
0.5185 0.0785 0.6325
0.5185 0.4215 0.1325
0.7593 0.7484 0.4936
0.7593 0.7516 0.9936
0.0550 0.7181 0.2447
0.0550 0.7819 0.7447
0.9450 0.2181 0.2553
0.9450 0.2819 0.7553
0.0453 0.1617 0.4733
0.0453 0.3383 0.9733
0.1309 0.1462 0.0593
0.1309 0.3538 0.5593
0.1906 0.5465 0.8679
0.1906 0.9535 0.3679
0.2112 0.5761 0.6133
0.2112 0.9239 0.1133
0.3132 0.5031 0.4059
0.3132 0.9969 0.9059
0.3297 0.5085 0.0876
0.3297 0.9915 0.5876
0.4000 0.2108 0.9070
0.4000 0.2892 0.4070
0.4393 0.1093 0.7472
0.4393 0.3907 0.2472
0.4755 0.2000 0.5794
0.4755 0.3000 0.0794
0.5245 0.7000 0.9206
0.5245 0.8000 0.4206
0.5607 0.6093 0.7528
0.5607 0.8907 0.2528
0.6000 0.7108 0.5930
0.6000 0.7892 0.0930
0.6703 0.0085 0.4124
0.6703 0.4915 0.9124
0.6868 0.0031 0.0941
0.6868 0.4969 0.5941
0.7888 0.0761 0.8867
0.7888 0.4239 0.3867
0.8094 0.0465 0.6321
0.8094 0.4535 0.1321
0.8691 0.6462 0.4407
0.8691 0.8538 0.9407
0.9547 0.6617 0.0267
0.9547 0.8383 0.5267
```

---

[2]
This entry pairs a crystal structure of KFeBr4 with its simulated powder diffraction line list. Radiation: Cu Kα. Structure: a structure optimized by DFT (PBE).

Main lines, sorted by position (5 to 70 degrees two-theta):
| two_theta | intensity |
| --- | --- |
| 14.1 | 54 |
| 22.1 | 75 |
| 24.0 | 75 |
| 25.7 | 62 |
| 26.6 | 45 |
| 26.9 | 57 |
| 28.4 | 58 |
| 29.3 | 56 |
| 29.7 | 100 |
| 35.4 | 65 |

Structure:
```
KFeBr4
1.0
7.8430 0.0000 0.0000
0.0000 10.4705 0.0000
0.0000 0.0000 10.5261
K Fe Br
4 4 16
Direct
0.1791 0.2500 0.2500
0.3209 0.7500 0.2500
0.6791 0.2500 0.7500
0.8209 0.7500 0.7500
0.2500 0.0000 0.6792
0.2500 0.5000 0.8208
0.7500 0.0000 0.3208
0.7500 0.5000 0.1792
0.0141 0.0436 0.8136
0.0141 0.4564 0.6864
0.1630 0.6753 0.9454
0.1630 0.8247 0.5546
0.3370 0.1753 0.5546
0.3370 0.3247 0.9454
0.4859 0.5436 0.6864
0.4859 0.9564 0.8136
0.5141 0.0436 0.1864
0.5141 0.4564 0.3136
0.6630 0.6753 0.0546
0.6630 0.8247 0.4454
0.8370 0.1753 0.4454
0.8370 0.3247 0.0546
0.9859 0.5436 0.3136
0.9859 0.9564 0.1864
```